No. 1
This entry pairs a crystal structure of SrTiB12 with its calculated X-ray diffraction stick pattern. Radiation: λ = 1.5418 Å (Cu Kα). Structure: a structure optimized by DFT (GGA-PBE).
Kinematic intensities with the Lorentz-polarization factor, no thermal factor.

Atomic structure:
```
14
Lattice="4.1406 0.0000 0.0000 0.0000 4.1406 0.0000 0.0000 0.0000 8.2569" Properties=species:S:1:pos:R:3 pbc="T T T"
Sr 0.0000 0.0000 0.0000
Ti 0.0000 0.0000 4.1284
B 0.8310 2.0703 2.1047
B 0.8310 2.0703 6.1522
B 2.0703 0.8310 2.1047
B 2.0703 0.8310 6.1522
B 2.0703 2.0703 0.8513
B 2.0703 2.0703 3.3207
B 2.0703 2.0703 4.9362
B 2.0703 2.0703 7.4056
B 2.0703 3.3096 2.1047
B 2.0703 3.3096 6.1522
B 3.3096 2.0703 2.1047
B 3.3096 2.0703 6.1522
```

Principal peaks in the range 2θ = 10–80°, by intensity:
d 2.925, I = 100
d 2.388, I = 45
d 1.851, I = 29
d 4.137, I = 27
d 1.378, I = 19
d 2.070, I = 16
d 1.689, I = 16
d 1.847, I = 14
d 1.309, I = 14
d 8.257, I = 10

No. 2
This entry pairs a crystal structure of SrTlB with its calculated X-ray diffraction stick pattern. Radiation: λ = 1.5418 Å (Cu Kα). Structure: a structure optimized by DFT (GGA-PBE).
Kinematic intensities with the Lorentz-polarization factor, no thermal factor.

Atomic structure:
```
6
Lattice="1.9414 -11.0337 0.0000 1.9414 11.0337 0.0000 0.0000 0.0000 3.2928" Properties=species:S:1:pos:R:3 pbc="T T T"
Sr 1.9414 9.1381 2.4696
Sr 1.9414 -9.1381 0.8232
Tl 1.9414 4.4371 2.4696
Tl 1.9414 -4.4371 0.8232
B 1.9414 0.1432 2.4696
B 1.9414 -0.1432 0.8232
```

Principal peaks in the range 2θ = 10–80°, by intensity:
d 2.915, I = 100
d 2.495, I = 88
d 2.827, I = 75
d 1.754, I = 40
d 3.434, I = 39
d 2.452, I = 37
d 1.600, I = 28
d 1.434, I = 23
d 2.207, I = 19
d 2.758, I = 17

No. 3
This entry pairs a crystal structure of SrYB12 with its calculated X-ray diffraction stick pattern. Radiation: λ = 1.5418 Å (Cu Kα). Structure: a structure optimized by DFT (GGA-PBE).
Kinematic intensities with the Lorentz-polarization factor, no thermal factor.

Atomic structure:
```
14
Lattice="0.0000 4.1450 4.1450 4.1450 0.0000 4.1450 4.1450 4.1450 0.0000" Properties=species:S:1:pos:R:3 pbc="T T T"
Sr 0.0000 0.0000 0.0000
Y 4.1450 4.1450 4.1450
B 2.0725 2.0725 0.8314
B 2.0725 0.8314 2.0725
B 3.3137 2.0725 2.0725
B 0.8314 2.0725 2.0725
B 2.0725 3.3137 2.0725
B 2.0725 2.0725 3.3137
B 6.2176 6.2176 4.9764
B 6.2176 4.9764 6.2176
B 7.4587 6.2176 6.2176
B 4.9764 6.2176 6.2176
B 6.2176 7.4587 6.2176
B 6.2176 6.2176 7.4587
```

Principal peaks in the range 2θ = 10–80°, by intensity:
d 2.931, I = 100
d 1.854, I = 46
d 2.393, I = 44
d 4.145, I = 42
d 1.382, I = 29
d 2.073, I = 23
d 1.311, I = 21
d 1.692, I = 20
d 1.250, I = 11
d 1.465, I = 8

No. 4
This entry pairs a crystal structure of SrZrB2 with its calculated X-ray diffraction stick pattern. Radiation: λ = 1.5418 Å (Cu Kα). Structure: a structure optimized by DFT (GGA-PBE).
Kinematic intensities with the Lorentz-polarization factor, no thermal factor.

Atomic structure:
```
8
Lattice="-2.5830 2.5830 7.0899 2.5830 -2.5830 7.0899 2.5830 2.5830 -7.0899" Properties=species:S:1:pos:R:3 pbc="T T T"
Sr 0.0000 0.0000 0.0000
Sr 0.0000 2.5830 3.5450
Zr 2.5830 0.0000 3.5450
Zr 0.0000 0.0000 7.0899
B 1.2915 -0.7062 5.3174
B 1.8769 1.2915 1.7725
B 1.2915 3.2892 -1.7725
B 0.7062 1.2915 8.8624
```

Principal peaks in the range 2θ = 10–80°, by intensity:
d 3.247, I = 100
d 2.088, I = 31
d 3.545, I = 25
d 1.984, I = 24
d 2.583, I = 24
d 1.592, I = 24
d 1.344, I = 13
d 1.624, I = 12
d 1.826, I = 9
d 1.461, I = 8

No. 5
This entry pairs a crystal structure of Ta2B with its calculated X-ray diffraction stick pattern. Radiation: λ = 1.5418 Å (Cu Kα). Structure: a structure optimized by DFT (GGA-PBE).
Kinematic intensities with the Lorentz-polarization factor, no thermal factor.

Atomic structure:
```
6
Lattice="-2.9036 2.9036 2.4498 2.9036 -2.9036 2.4498 2.9036 2.9036 -2.4498" Properties=species:S:1:pos:R:3 pbc="T T T"
Ta 3.8726 0.9690 0.0000
Ta 0.9690 1.9346 0.0000
Ta 1.9346 0.9690 2.4498
Ta -0.9690 1.9346 2.4498
B 0.0000 0.0000 1.2249
B 0.0000 0.0000 3.6747
```

Principal peaks in the range 2θ = 10–80°, by intensity:
d 2.295, I = 100
d 2.450, I = 26
d 1.383, I = 20
d 2.904, I = 19
d 1.354, I = 19
d 1.872, I = 13
d 1.836, I = 12
d 1.469, I = 10
d 4.106, I = 10
d 1.369, I = 8

No. 6
This entry pairs a crystal structure of Ta5B6 with its calculated X-ray diffraction stick pattern. Radiation: λ = 1.5418 Å (Cu Kα). Structure: a structure optimized by DFT (GGA-PBE).
Kinematic intensities with the Lorentz-polarization factor, no thermal factor.

Atomic structure:
```
11
Lattice="1.5788 -11.3728 0.0000 1.5788 11.3728 0.0000 0.0000 0.0000 3.3077" Properties=species:S:1:pos:R:3 pbc="T T T"
Ta 0.0000 0.0000 0.0000
Ta 1.5788 6.9572 1.6539
Ta 1.5788 2.5937 0.0000
Ta 1.5788 -2.5937 0.0000
Ta 1.5788 -6.9572 1.6539
B 1.5788 9.4994 1.6539
B 1.5788 5.1559 0.0000
B 1.5788 0.8928 1.6539
B 1.5788 -0.8928 1.6539
B 1.5788 -5.1559 0.0000
B 1.5788 -9.4994 1.6539
```

Principal peaks in the range 2θ = 10–80°, by intensity:
d 2.594, I = 100
d 2.187, I = 90
d 2.156, I = 62
d 3.176, I = 53
d 2.274, I = 37
d 1.389, I = 31
d 1.395, I = 30
d 1.274, I = 23
d 1.654, I = 17
d 1.579, I = 14

No. 7
This entry pairs a crystal structure of TaB4 with its calculated X-ray diffraction stick pattern. Radiation: λ = 1.5418 Å (Cu Kα). Structure: a structure optimized by DFT (GGA-PBE).
Kinematic intensities with the Lorentz-polarization factor, no thermal factor.

Atomic structure:
```
20
Lattice="5.3366 0.0000 0.0000 -2.6683 4.6217 0.0000 0.0000 0.0000 6.7330" Properties=species:S:1:pos:R:3 pbc="T T T"
Ta 0.0000 0.0000 1.6833
Ta 0.0000 0.0000 5.0498
Ta 0.0000 3.0811 1.6833
Ta 2.6683 1.5406 5.0498
B -0.8994 1.5577 0.0000
B -0.8994 1.5577 3.3665
B -1.7690 3.0639 0.0000
B -1.7690 3.0639 3.3665
B 0.0000 3.0811 4.2025
B 0.0000 3.0811 5.8970
B 1.7987 0.0000 0.0000
B 1.7987 0.0000 3.3665
B 0.8994 1.5577 0.0000
B 0.8994 1.5577 3.3665
B 3.5379 0.0000 0.0000
B 3.5379 0.0000 3.3665
B 1.7690 3.0639 0.0000
B 1.7690 3.0639 3.3665
B 2.6683 1.5406 0.8360
B 2.6683 1.5406 2.5305
```

Principal peaks in the range 2θ = 10–80°, by intensity:
d 2.091, I = 100
d 2.668, I = 85
d 3.810, I = 71
d 3.367, I = 39
d 1.541, I = 22
d 1.424, I = 22
d 1.401, I = 20
d 1.240, I = 19
d 4.622, I = 17
d 2.186, I = 17

No. 8
This entry pairs a crystal structure of Ta3B with its calculated X-ray diffraction stick pattern. Radiation: λ = 1.5418 Å (Cu Kα). Structure: a structure optimized by DFT (GGA-PBE).
Kinematic intensities with the Lorentz-polarization factor, no thermal factor.

Atomic structure:
```
4
Lattice="-1.5441 3.9119 2.6109 1.5441 -3.9119 2.6109 1.5441 3.9119 -2.6109" Properties=species:S:1:pos:R:3 pbc="T T T"
Ta 0.0000 0.0000 0.0000
Ta 1.5441 2.4421 0.1555
Ta 0.0000 1.4698 2.7664
B 1.5441 0.0000 1.6572
```

Principal peaks in the range 2θ = 10–80°, by intensity:
d 2.199, I = 100
d 2.333, I = 80
d 2.611, I = 59
d 2.873, I = 53
d 1.932, I = 36
d 1.288, I = 25
d 1.414, I = 22
d 1.231, I = 22
d 1.448, I = 18
d 1.396, I = 16

No. 9
This entry pairs a crystal structure of ThTaB with its calculated X-ray diffraction stick pattern. Radiation: λ = 1.5418 Å (Cu Kα). Structure: a structure optimized by DFT (GGA-PBE).
Kinematic intensities with the Lorentz-polarization factor, no thermal factor.

Atomic structure:
```
18
Lattice="-3.6637 6.2867 3.6540 3.6637 -6.2867 3.6540 3.6637 6.2867 -3.6540" Properties=species:S:1:pos:R:3 pbc="T T T"
Th 1.8318 0.0067 0.0000
Th 1.8318 3.9370 1.2592
Th 1.8318 -2.3475 4.9167
Th 1.8318 8.6342 1.2626
Th 1.8318 2.3497 4.9133
Th 1.8318 6.2800 3.6540
Ta 3.6684 4.6953 -1.5148
Ta 3.6590 -1.5914 2.1392
Ta -0.0047 1.5914 2.1392
Ta 3.6684 1.5914 2.1392
Ta 0.0000 6.2867 0.7576
Ta 0.0000 0.0000 4.4117
B 3.6633 2.4806 -0.0916
B 3.6641 -3.8061 3.5625
B 1.8318 6.2827 -0.8727
B 1.8318 0.0040 2.7813
B 0.0004 3.8061 3.5625
B 3.6633 3.8061 3.5625
```

Principal peaks in the range 2θ = 10–80°, by intensity:
d 2.581, I = 100
d 3.166, I = 63
d 2.392, I = 55
d 2.384, I = 28
d 2.378, I = 22
d 1.453, I = 20
d 1.451, I = 17
d 1.636, I = 16
d 1.832, I = 16
d 1.579, I = 15

No. 10
This entry pairs a crystal structure of TaVB with its calculated X-ray diffraction stick pattern. Radiation: λ = 1.5418 Å (Cu Kα). Structure: a structure optimized by DFT (GGA-PBE).
Kinematic intensities with the Lorentz-polarization factor, no thermal factor.

Atomic structure:
```
18
Lattice="10.7151 0.0000 0.0000 0.0000 3.2606 0.0000 0.0000 0.0000 6.2759" Properties=species:S:1:pos:R:3 pbc="T T T"
Ta 0.4998 0.0000 1.4551
Ta 2.6788 0.0000 5.3809
Ta 4.8577 0.0000 1.4551
Ta 5.8574 0.0000 4.8208
Ta 8.0363 0.0000 0.8950
Ta 10.2152 0.0000 4.8208
V 1.3348 1.6303 3.5846
V 2.6788 1.6303 1.2674
V 4.0227 1.6303 3.5846
V 6.6923 1.6303 2.6912
V 8.0363 1.6303 5.0085
V 9.3803 1.6303 2.6912
B 0.9195 1.6303 5.9529
B 2.6788 0.0000 2.8227
B 4.4381 1.6303 5.9529
B 6.2770 1.6303 0.3230
B 8.0363 0.0000 3.4532
B 9.7956 1.6303 0.3230
```

Principal peaks in the range 2θ = 10–80°, by intensity:
d 2.248, I = 100
d 3.104, I = 52
d 3.261, I = 39
d 2.261, I = 36
d 3.138, I = 30
d 2.083, I = 30
d 2.070, I = 23
d 2.212, I = 21
d 1.360, I = 20
d 1.630, I = 19

No. 11
This entry pairs a crystal structure of TaV2B2 with its calculated X-ray diffraction stick pattern. Radiation: λ = 1.5418 Å (Cu Kα). Structure: a structure optimized by DFT (GGA-PBE).
Kinematic intensities with the Lorentz-polarization factor, no thermal factor.

Atomic structure:
```
10
Lattice="4.2493 0.0000 0.0000 0.0000 3.1489 0.0000 -2.0711 0.0000 8.6556" Properties=species:S:1:pos:R:3 pbc="T T T"
Ta -0.5026 0.7872 2.3302
Ta 2.6808 2.3617 6.3254
V -0.9607 0.7872 8.5298
V 0.5887 0.7872 5.1909
V 1.5894 2.3617 3.4646
V 3.1388 2.3617 0.1258
B -0.5812 2.3617 4.1526
B 0.8812 2.3617 1.2982
B 1.2969 0.7872 7.3574
B 2.7594 0.7872 4.5029
```

Principal peaks in the range 2θ = 10–80°, by intensity:
d 2.128, I = 100
d 2.320, I = 97
d 2.502, I = 77
d 4.133, I = 73
d 3.412, I = 68
d 2.959, I = 62
d 2.692, I = 51
d 2.039, I = 46
d 4.328, I = 43
d 2.060, I = 39

No. 12
This entry pairs a crystal structure of TaV2B4 with its calculated X-ray diffraction stick pattern. Radiation: λ = 1.5418 Å (Cu Kα). Structure: a structure optimized by DFT (GGA-PBE).
Kinematic intensities with the Lorentz-polarization factor, no thermal factor.

Atomic structure:
```
7
Lattice="-1.5188 1.5804 6.7104 1.5188 -1.5804 6.7104 1.5188 1.5804 -6.7104" Properties=species:S:1:pos:R:3 pbc="T T T"
Ta 0.0000 0.0000 0.0000
V 1.5188 0.0000 2.5273
V 0.0000 1.5804 4.1830
B 1.5188 0.0000 4.8294
B 0.0000 0.0000 5.7809
B 0.0000 0.0000 7.6399
B 0.0000 1.5804 1.8810
```

Principal peaks in the range 2θ = 10–80°, by intensity:
d 2.082, I = 100
d 6.710, I = 85
d 2.513, I = 81
d 3.077, I = 79
d 2.046, I = 56
d 2.963, I = 36
d 3.355, I = 35
d 1.834, I = 35
d 1.338, I = 30
d 2.237, I = 26

No. 13
This entry pairs a crystal structure of TaB3W with its calculated X-ray diffraction stick pattern. Radiation: λ = 1.5418 Å (Cu Kα). Structure: a structure optimized by DFT (GGA-PBE).
Kinematic intensities with the Lorentz-polarization factor, no thermal factor.

Atomic structure:
```
10
Lattice="1.6443 -9.6386 0.0000 1.6443 9.6386 0.0000 0.0000 0.0000 3.1102" Properties=species:S:1:pos:R:3 pbc="T T T"
Ta 1.6443 5.7579 2.3327
Ta 1.6443 -5.7579 0.7776
B 1.6443 3.1958 2.3327
B 1.6443 2.2059 0.7776
B 1.6443 0.4298 0.7776
B 1.6443 -0.4298 2.3327
B 1.6443 -2.2059 2.3327
B 1.6443 -3.1958 0.7776
W 1.6443 8.2861 0.7776
W 1.6443 -8.2861 2.3327
```

Principal peaks in the range 2θ = 10–80°, by intensity:
d 2.613, I = 100
d 2.132, I = 87
d 3.242, I = 62
d 2.111, I = 58
d 2.410, I = 32
d 1.392, I = 29
d 1.385, I = 29
d 1.252, I = 23
d 1.950, I = 17
d 1.644, I = 16